1.
Calculated powder XRD pattern
Compound: PuPRu2C
Radiation: CuKα
Structure: the PBE geometry in Alexandria

Principal peaks in the range 2θ from 15° to 90°, in order of falling intensity:
2theta	I/Imax
35.59	100
33.76	66
30.10	44
34.87	43
36.16	38
62.61	26
47.52	26
51.99	23
41.82	23
60.28	18

Structure:
Cell: 5.850 5.850 7.040 Å, 90.00 90.00 141.82°
Fractional coordinates of all 10 atoms:
Pu  0.045  0.955  0.750
Pu  0.955  0.045  0.250
P  0.229  0.771  0.250
P  0.771  0.229  0.750
Ru  0.332  0.668  0.554
Ru  0.332  0.668  0.946
Ru  0.668  0.332  0.054
Ru  0.668  0.332  0.446
C  0.500  0.500  0.000
C  0.500  0.500  0.500



2.
Calculated powder XRD pattern
Compound: K3GaBi2
Radiation: CuKα
Structure: the PBE geometry in Alexandria

Principal peaks in the range 2θ from 15° to 90°, in order of falling intensity:
2theta	I/Imax
17.31	100
33.93	91
18.75	77
26.48	66
25.68	64
20.47	59
27.37	57
37.56	50
26.21	43
32.31	34

Structure:
Cell: 13.958 4.789 15.090 Å, 90.00 90.00 90.00°
Fractional coordinates of all 24 atoms:
K  0.065  0.250  0.116
K  0.119  0.750  0.556
K  0.184  0.250  0.797
K  0.316  0.750  0.297
K  0.381  0.250  0.056
K  0.435  0.750  0.616
K  0.565  0.250  0.384
K  0.619  0.750  0.944
K  0.684  0.250  0.703
K  0.816  0.750  0.203
K  0.881  0.250  0.444
K  0.935  0.750  0.884
Ga  0.143  0.250  0.373
Ga  0.357  0.750  0.873
Ga  0.643  0.250  0.127
Ga  0.857  0.750  0.627
Bi  0.051  0.750  0.316
Bi  0.198  0.750  0.977
Bi  0.302  0.250  0.477
Bi  0.449  0.250  0.816
Bi  0.551  0.750  0.184
Bi  0.698  0.750  0.523
Bi  0.802  0.250  0.023
Bi  0.949  0.250  0.684



3.
Calculated powder XRD pattern
Compound: NaH4C2IN2O2
Radiation: CuKα
Structure: the PBE geometry in Alexandria

Principal peaks in the range 2θ from 15° to 90°, in order of falling intensity:
2theta	I/Imax
21.85	100
27.59	89
27.98	88
16.95	65
23.35	58
24.71	58
23.58	54
26.36	35
25.94	32
45.05	31

Structure:
Cell: 10.465 4.927 7.210 Å, 90.00 91.47 90.00°
Fractional coordinates of all 24 atoms:
Na  0.000  0.000  0.000
Na  0.000  0.500  0.500
H  0.157  0.121  0.688
H  0.157  0.123  0.323
H  0.157  0.377  0.823
H  0.157  0.379  0.188
H  0.843  0.621  0.812
H  0.843  0.623  0.177
H  0.843  0.877  0.677
H  0.843  0.879  0.312
C  0.313  0.736  0.507
C  0.313  0.764  0.007
C  0.687  0.236  0.993
C  0.687  0.264  0.493
I  0.500  0.000  0.000
I  0.500  0.500  0.500
N  0.217  0.642  0.010
N  0.217  0.858  0.510
N  0.783  0.142  0.490
N  0.783  0.358  0.990
O  0.102  0.250  0.254
O  0.102  0.250  0.754
O  0.898  0.750  0.246
O  0.898  0.750  0.746



4.
Calculated powder XRD pattern
Compound: Th3H4N3
Radiation: CuKα
Structure: the PBE geometry in Alexandria

Principal peaks in the range 2θ from 15° to 90°, in order of falling intensity:
2theta	I/Imax
26.79	100
34.80	31
50.04	29
41.45	25
57.66	24
71.32	20
88.05	17
52.67	16
31.03	13
62.40	7

Structure:
Cell: 7.059 7.059 7.059 Å, 109.47 109.47 109.47°
Fractional coordinates of all 20 atoms:
Th  0.125  0.750  0.875
Th  0.250  0.625  0.375
Th  0.375  0.250  0.625
Th  0.625  0.375  0.250
Th  0.750  0.875  0.125
Th  0.875  0.125  0.750
H  0.000  0.161  0.500
H  0.000  0.661  0.500
H  0.161  0.500  0.000
H  0.339  0.339  0.339
H  0.500  0.000  0.161
H  0.500  0.000  0.661
H  0.661  0.500  0.000
H  0.839  0.839  0.839
N  0.125  0.875  0.250
N  0.250  0.125  0.875
N  0.375  0.625  0.750
N  0.625  0.750  0.375
N  0.750  0.375  0.625
N  0.875  0.250  0.125



5.
Calculated powder XRD pattern
Compound: Zr2BeW
Radiation: CuKα
Structure: the PBE geometry in Alexandria

Principal peaks in the range 2θ from 15° to 90°, in order of falling intensity:
2theta	I/Imax
38.90	100
38.71	67
30.44	61
27.11	37
70.20	35
58.10	26
55.90	23
41.57	17
50.34	15
64.99	14

Structure:
Cell: 3.289 3.289 6.517 Å, 90.00 90.00 90.00°
Fractional coordinates of all 4 atoms:
Zr  0.000  0.000  0.000
Zr  0.500  0.500  0.330
Be  0.000  0.000  0.575
W  0.500  0.500  0.730



6.
Calculated powder XRD pattern
Compound: Ti2Ir3Rh3
Radiation: CuKα
Structure: the PBE geometry in Alexandria

Principal peaks in the range 2θ from 15° to 90°, in order of falling intensity:
2theta	I/Imax
40.42	100
47.06	32
82.89	25
68.65	21
23.03	19
46.94	16
32.75	16
82.71	12
87.40	11
68.75	10

Structure:
Cell: 3.863 3.872 7.722 Å, 90.00 90.00 90.00°
Fractional coordinates of all 8 atoms:
Ti  0.000  0.000  0.250
Ti  0.000  0.000  0.750
Ir  0.000  0.500  0.000
Ir  0.500  0.000  0.000
Ir  0.500  0.000  0.500
Rh  0.000  0.500  0.500
Rh  0.500  0.500  0.250
Rh  0.500  0.500  0.750



7.
Calculated powder XRD pattern
Compound: Nb6O15F
Radiation: CuKα
Structure: the PBE geometry in Alexandria

Principal peaks in the range 2θ from 15° to 90°, in order of falling intensity:
2theta	I/Imax
22.44	100
24.95	72
33.80	31
27.79	30
22.92	28
45.81	26
29.79	18
52.86	17
36.01	13
52.19	12

Structure:
Cell: 17.141 3.962 9.139 Å, 90.00 90.00 90.00°
Fractional coordinates of all 44 atoms:
Nb  0.060  0.000  0.182
Nb  0.126  0.000  0.601
Nb  0.250  0.000  0.314
Nb  0.250  0.000  0.940
Nb  0.374  0.000  0.601
Nb  0.440  0.000  0.182
Nb  0.560  0.000  0.818
Nb  0.626  0.000  0.399
Nb  0.750  0.000  0.060
Nb  0.750  0.000  0.686
Nb  0.874  0.000  0.399
Nb  0.940  0.000  0.818
O  0.000  0.000  0.000
O  0.020  0.000  0.668
O  0.066  0.500  0.176
O  0.128  0.500  0.587
O  0.135  0.000  0.377
O  0.167  0.000  0.799
O  0.177  0.000  0.127
O  0.250  0.000  0.533
O  0.250  0.500  0.956
O  0.323  0.000  0.127
O  0.333  0.000  0.799
O  0.365  0.000  0.377
O  0.372  0.500  0.587
O  0.434  0.500  0.176
O  0.480  0.000  0.668
O  0.500  0.000  0.000
O  0.520  0.000  0.332
O  0.566  0.500  0.824
O  0.628  0.500  0.413
O  0.635  0.000  0.623
O  0.667  0.000  0.201
O  0.677  0.000  0.873
O  0.750  0.000  0.467
O  0.750  0.500  0.044
O  0.823  0.000  0.873
O  0.833  0.000  0.201
O  0.865  0.000  0.623
O  0.872  0.500  0.413
O  0.934  0.500  0.824
O  0.980  0.000  0.332
F  0.250  0.500  0.301
F  0.750  0.500  0.699



8.
Calculated powder XRD pattern
Compound: DyZnGaCu6
Radiation: CuKα
Structure: the PBE geometry in Alexandria

Principal peaks in the range 2θ from 15° to 90°, in order of falling intensity:
2theta	I/Imax
37.20	100
41.56	91
33.21	73
39.78	69
29.41	59
42.96	51
27.65	33
50.01	33
40.41	31
45.70	28

Structure:
Cell: 7.342 7.342 7.342 Å, 124.09 107.41 98.06°
Fractional coordinates of all 18 atoms:
Dy  0.464  0.214  0.250
Dy  0.536  0.786  0.750
Zn  0.000  0.000  0.500
Zn  0.000  0.500  0.000
Ga  0.000  0.000  0.000
Ga  0.500  0.000  0.500
Cu  0.131  0.447  0.322
Cu  0.131  0.808  0.684
Cu  0.168  0.918  0.250
Cu  0.230  0.480  0.750
Cu  0.376  0.192  0.822
Cu  0.376  0.553  0.184
Cu  0.624  0.447  0.816
Cu  0.624  0.808  0.178
Cu  0.770  0.520  0.250
Cu  0.832  0.082  0.750
Cu  0.869  0.192  0.316
Cu  0.869  0.553  0.678



9.
Calculated powder XRD pattern
Compound: Ac4Nd5Dy
Radiation: CuKα
Structure: the PBE geometry in Alexandria

Principal peaks in the range 2θ from 15° to 90°, in order of falling intensity:
2theta	I/Imax
28.84	100
33.00	36
56.40	31
48.30	23
34.25	15
47.36	13
59.74	12
58.05	12
78.08	10
88.85	9

Structure:
Cell: 3.839 3.839 26.181 Å, 90.00 90.00 90.00°
Fractional coordinates of all 10 atoms:
Ac  0.000  0.000  0.102
Ac  0.000  0.000  0.306
Ac  0.000  0.000  0.694
Ac  0.000  0.000  0.898
Nd  0.500  0.500  0.000
Nd  0.500  0.500  0.204
Nd  0.500  0.500  0.409
Nd  0.500  0.500  0.591
Nd  0.500  0.500  0.796
Dy  0.000  0.000  0.500



10.
Calculated powder XRD pattern
Compound: Nd4Y4Er3
Radiation: CuKα
Structure: the PBE geometry in Alexandria

Principal peaks in the range 2θ from 15° to 90°, in order of falling intensity:
2theta	I/Imax
31.62	100
31.41	59
61.77	29
30.64	27
44.64	19
56.23	17
56.35	13
56.63	12
45.66	11
30.18	11

Structure:
Cell: 3.544 5.652 18.301 Å, 81.14 84.45 90.00°
Fractional coordinates of all 11 atoms:
Nd  0.046  0.047  0.408
Nd  0.179  0.680  0.141
Nd  0.821  0.320  0.859
Nd  0.954  0.953  0.592
Y  0.090  0.591  0.319
Y  0.233  0.233  0.034
Y  0.767  0.767  0.966
Y  0.910  0.409  0.681
Er  0.364  0.863  0.774
Er  0.500  0.500  0.500
Er  0.636  0.137  0.226



11.
Calculated powder XRD pattern
Compound: Ba3Au2
Radiation: CuKα
Structure: the PBE geometry in Alexandria

Principal peaks in the range 2θ from 15° to 90°, in order of falling intensity:
2theta	I/Imax
31.83	100
24.48	66
37.75	57
50.19	28
64.47	26
62.09	25
19.80	22
41.51	16
21.53	15
29.41	13

Structure:
Cell: 9.038 9.038 9.038 Å, 54.35 54.35 54.35°
Fractional coordinates of all 10 atoms:
Ba  0.072  0.750  0.428
Ba  0.250  0.572  0.928
Ba  0.428  0.072  0.750
Ba  0.572  0.928  0.250
Ba  0.750  0.428  0.072
Ba  0.928  0.250  0.572
Au  0.162  0.162  0.162
Au  0.338  0.338  0.338
Au  0.662  0.662  0.662
Au  0.838  0.838  0.838



12.
Calculated powder XRD pattern
Compound: BaPrPd
Radiation: CuKα
Structure: the PBE geometry in Alexandria

Principal peaks in the range 2θ from 15° to 90°, in order of falling intensity:
2theta	I/Imax
27.77	100
30.49	97
26.56	79
34.27	53
39.17	39
37.97	30
33.26	29
36.62	21
25.20	18
40.87	18

Structure:
Cell: 7.506 7.795 7.533 Å, 90.00 97.83 90.00°
Fractional coordinates of all 12 atoms:
Ba  0.154  0.152  0.319
Ba  0.154  0.348  0.819
Ba  0.846  0.652  0.181
Ba  0.846  0.848  0.681
Pr  0.363  0.695  0.487
Pr  0.363  0.805  0.987
Pr  0.637  0.195  0.013
Pr  0.637  0.305  0.513
Pd  0.434  0.035  0.688
Pd  0.434  0.465  0.188
Pd  0.566  0.535  0.812
Pd  0.566  0.965  0.312